# 1
This entry pairs a crystal structure of ScGa2FePt4 with its calculated XRD peak list. Radiation: Cu Kα. Structure: a cell relaxed with PBE.
No peak broadening, texture or thermal motion is included.

Principal peaks in the range 2θ = 15–90°, low angle first:
2theta	intensity
28.19	16
28.44	33
40.47	100
40.66	51
50.21	14
58.29	8
58.85	17
73.49	16
73.86	34
87.55	10

Cell lengths 4.438, 4.438, 6.331 Å; angles 90.00, 90.00, 90.00 degrees
Atoms (fractional coordinates):
Sc 0.000 0.000 0.000
Ga 0.000 0.000 0.500
Ga 0.500 0.500 0.000
Fe 0.500 0.500 0.500
Pt 0.000 0.500 0.265
Pt 0.000 0.500 0.735
Pt 0.500 0.000 0.265
Pt 0.500 0.000 0.735

---

# 2
This entry pairs a crystal structure of Zr3NiAs4Pd3 with its calculated XRD peak list. Radiation: Cu Kα. Structure: a cell relaxed with PBE.
No peak broadening, texture or thermal motion is included.

Principal peaks in the range 2θ = 15–90°, low angle first:
2theta	intensity
17.77	22
35.53	100
37.51	72
37.86	23
42.30	44
42.83	21
44.59	36
46.22	40
47.83	16
77.40	15

Cell lengths 6.591, 3.928, 7.639 Å; angles 90.00, 90.19, 90.00 degrees
Atoms (fractional coordinates):
Zr 0.000 0.000 0.000
Zr 0.070 0.500 0.371
Zr 0.503 0.000 0.858
Ni 0.389 0.000 0.233
As 0.292 0.500 0.066
As 0.321 0.000 0.541
As 0.772 0.000 0.313
As 0.781 0.500 0.801
Pd 0.186 0.500 0.742
Pd 0.679 0.500 0.127
Pd 0.909 0.000 0.621

---

# 3
This entry pairs a crystal structure of TaTcB4 with its calculated XRD peak list. Radiation: Cu Kα. Structure: a cell relaxed with PBE.
No peak broadening, texture or thermal motion is included.

Principal peaks in the range 2θ = 15–90°, low angle first:
2theta	intensity
22.67	64
35.38	29
37.25	100
42.43	26
46.29	14
50.09	52
63.51	17
68.36	20
70.57	14
82.12	15

Cell lengths 2.930, 2.930, 7.846 Å; angles 90.00, 90.00, 120.00 degrees
Atoms (fractional coordinates):
Ta 0.000 0.000 0.000
Tc 0.667 0.333 0.500
B 0.000 0.000 0.304
B 0.000 0.000 0.696
B 0.667 0.333 0.221
B 0.667 0.333 0.779

---

# 4
This entry pairs a crystal structure of Rb2Ho4Cu4Se9 with its calculated XRD peak list. Radiation: Cu Kα. Structure: a cell relaxed with PBE.
No peak broadening, texture or thermal motion is included.

Principal peaks in the range 2θ = 15–90°, low angle first:
2theta	intensity
28.53	100
28.98	78
29.24	52
30.54	47
31.03	77
33.74	41
38.05	52
41.85	39
44.02	79
44.74	47

Cell lengths 7.517, 7.517, 16.541 Å; angles 108.16, 108.16, 31.76 degrees
Atoms (fractional coordinates):
Rb 0.031 0.031 0.272
Rb 0.969 0.969 0.728
Ho 0.230 0.230 0.102
Ho 0.345 0.345 0.444
Ho 0.655 0.655 0.556
Ho 0.770 0.770 0.898
Cu 0.245 0.245 0.730
Cu 0.425 0.425 0.031
Cu 0.575 0.575 0.969
Cu 0.755 0.755 0.270
Se 0.000 0.000 0.500
Se 0.139 0.139 0.923
Se 0.297 0.297 0.601
Se 0.348 0.348 0.276
Se 0.394 0.394 0.873
Se 0.606 0.606 0.127
Se 0.652 0.652 0.724
Se 0.703 0.703 0.399
Se 0.861 0.861 0.077

---

Q: What is the formula in the first record?
A: ScGa2FePt4

---

Q: Which formula does entry 2 have?
A: Zr3NiAs4Pd3